No. 1
For Li2ErTh, a DFT-relaxed cell (GGA-PBE, Alexandria) gives the computed powder diffractogram in this record (Cu Kα).
Lines closer than 0.1° are merged.

Largest 10 diffraction maxima, by angle, 2θ from 5° to 70°:
| two_theta | I_rel |
| --- | --- |
| 23.55 | 100 |
| 25.63 | 41 |
| 33.55 | 46 |
| 35.09 | 81 |
| 42.70 | 43 |
| 48.18 | 17 |
| 54.30 | 21 |
| 55.36 | 20 |
| 58.47 | 17 |
| 60.98 | 34 |

Structural model:
```
data_Li2ErTh
_space_group_name_H-M_alt 'P 4/m m m'
_space_group_IT_number 123
_space_group_name_Hall '-P 4 2'
_cell_length_a 5.3421
_cell_length_b 5.3421
_cell_length_c 3.4751
_cell_angle_alpha 90.00
_cell_angle_beta 90.00
_cell_angle_gamma 90.00
loop_
_atom_site_label
_atom_site_type_symbol
_atom_site_fract_x
_atom_site_fract_y
_atom_site_fract_z
Li1 Li 0.0000 0.5000 0.0000
Er1 Er 0.0000 0.0000 0.5000
Th1 Th 0.5000 0.5000 0.5000
```

=====

No. 2
For NdSm6In3, a DFT-relaxed cell (GGA-PBE, Alexandria) gives the computed powder diffractogram in this record (Cu Kα).
Lines closer than 0.1° are merged.

Largest 10 diffraction maxima, by angle, 2θ from 5° to 70°:
| two_theta | I_rel |
| --- | --- |
| 30.50 | 100 |
| 30.70 | 87 |
| 33.70 | 20 |
| 36.11 | 27 |
| 36.57 | 27 |
| 37.53 | 23 |
| 58.30 | 23 |
| 58.42 | 13 |
| 61.19 | 21 |
| 66.41 | 12 |

Structural model:
```
data_NdSm6In3
_space_group_name_H-M_alt 'C m c 21'
_space_group_IT_number 36
_cell_length_a 10.6374
_cell_length_b 15.5181
_cell_length_c 7.8782
_cell_angle_alpha 90.00
_cell_angle_beta 90.00
_cell_angle_gamma 90.00
loop_
_space_group_symop_operation_xyz
'x,y,z'
'-x,-y,z+1/2'
'-x,y,z'
'x,-y,z+1/2'
'x+1/2,y+1/2,z'
'-x+1/2,-y+1/2,z+1/2'
'-x+1/2,y+1/2,z'
'x+1/2,-y+1/2,z+1/2'
loop_
_atom_site_label
_atom_site_type_symbol
_atom_site_fract_x
_atom_site_fract_y
_atom_site_fract_z
Nd1 Nd 0.0000 0.2172 0.0000
Sm1 Sm 0.0000 0.0492 0.7127
Sm2 Sm 0.0000 0.3050 0.5429
Sm3 Sm 0.2355 0.4668 0.5210
Sm4 Sm 0.2364 0.3124 0.2081
In1 In 0.0000 0.4485 0.2345
In2 In 0.1433 0.1341 0.3472
```

=====

No. 3
For Mg6NiPd5, a DFT-relaxed cell (GGA-PBE, Alexandria) gives the computed powder diffractogram in this record (Cu Kα).
Lines closer than 0.1° are merged.

Largest 10 diffraction maxima, by angle, 2θ from 5° to 70°:
| two_theta | I_rel |
| --- | --- |
| 27.19 | 50 |
| 28.61 | 44 |
| 28.80 | 43 |
| 39.87 | 100 |
| 40.02 | 99 |
| 41.04 | 92 |
| 49.93 | 37 |
| 56.08 | 18 |
| 59.22 | 15 |
| 59.66 | 15 |

Structural model:
```
data_Mg6NiPd5
_space_group_name_H-M_alt 'P 1 2/m 1'
_space_group_IT_number 10
_cell_length_a 4.4035
_cell_length_b 6.5599
_cell_length_c 6.9343
_cell_angle_alpha 90.00
_cell_angle_beta 108.13
_cell_angle_gamma 90.00
loop_
_space_group_symop_operation_xyz
'x,y,z'
'-x,-y,-z'
'-x,y,-z'
'x,-y,z'
loop_
_atom_site_label
_atom_site_type_symbol
_atom_site_fract_x
_atom_site_fract_y
_atom_site_fract_z
Mg1 Mg 0.0000 0.2460 0.0000
Mg2 Mg 0.3351 0.2471 0.6697
Ni1 Ni 0.5000 0.0000 0.0000
Pd1 Pd 0.1649 0.0000 0.3301
Pd2 Pd 0.1667 0.5000 0.3342
Pd3 Pd 0.5000 0.5000 0.0000
```

=====

No. 4
For AgH5Pd5, a DFT-relaxed cell (GGA-PBE, Alexandria) gives the computed powder diffractogram in this record (Cu Kα).
Lines closer than 0.1° are merged.

Largest 10 diffraction maxima, by angle, 2θ from 5° to 70°:
| two_theta | I_rel |
| --- | --- |
| 36.35 | 51 |
| 36.86 | 100 |
| 37.68 | 47 |
| 42.00 | 33 |
| 42.73 | 32 |
| 43.99 | 30 |
| 60.59 | 11 |
| 61.50 | 11 |
| 62.34 | 10 |
| 62.78 | 10 |

Structural model:
```
data_AgH5Pd5
_space_group_name_H-M_alt 'P 1'
_space_group_IT_number 1
_cell_length_a 2.9614
_cell_length_b 5.1247
_cell_length_c 7.4234
_cell_angle_alpha 92.51
_cell_angle_beta 91.24
_cell_angle_gamma 90.93
loop_
_space_group_symop_operation_xyz
'x,y,z'
loop_
_atom_site_label
_atom_site_type_symbol
_atom_site_fract_x
_atom_site_fract_y
_atom_site_fract_z
Ag1 Ag 0.0000 0.0000 0.0000
H1 H 0.4941 0.4663 0.2684
H2 H 0.5004 0.8182 0.1209
H3 H 0.5057 0.8206 0.6041
H4 H 0.9865 0.4403 0.8754
H5 H 0.9988 0.3095 0.5804
Pd1 Pd 0.0044 0.6500 0.6842
Pd2 Pd 0.4913 0.8144 0.3527
Pd3 Pd 0.4992 0.4886 0.0163
Pd4 Pd 0.5005 0.1584 0.6829
Pd5 Pd 0.9934 0.2950 0.3407
```

=====

No. 5
For HoGaOs2C, a DFT-relaxed cell (GGA-PBE, Alexandria) gives the computed powder diffractogram in this record (Cu Kα).
Lines closer than 0.1° are merged.

Largest 10 diffraction maxima, by angle, 2θ from 5° to 70°:
| two_theta | I_rel |
| --- | --- |
| 29.32 | 23 |
| 33.21 | 100 |
| 34.29 | 90 |
| 34.82 | 40 |
| 35.47 | 34 |
| 40.47 | 42 |
| 44.35 | 47 |
| 45.61 | 41 |
| 61.33 | 30 |
| 62.59 | 23 |

Structural model:
```
data_HoGaOs2C
_space_group_name_H-M_alt 'C m c m'
_space_group_IT_number 63
_space_group_name_Hall '-C 2c 2'
_cell_length_a 3.9783
_cell_length_b 11.0105
_cell_length_c 7.3134
_cell_angle_alpha 90.00
_cell_angle_beta 90.00
_cell_angle_gamma 90.00
loop_
_atom_site_label
_atom_site_type_symbol
_atom_site_fract_x
_atom_site_fract_y
_atom_site_fract_z
Ho1 Ho 0.0000 0.0467 0.2500
Ga1 Ga 0.0000 0.2337 0.7500
Os1 Os 0.0000 0.3344 0.0614
C1 C 0.0000 0.5000 0.0000
```

=====

No. 6
For Ir4Cl3, a DFT-relaxed cell (GGA-PBE, Alexandria) gives the computed powder diffractogram in this record (Cu Kα).
Lines closer than 0.1° are merged.

Largest 10 diffraction maxima, by angle, 2θ from 5° to 70°:
| two_theta | I_rel |
| --- | --- |
| 10.17 | 100 |
| 20.41 | 17 |
| 30.50 | 14 |
| 38.45 | 23 |
| 39.36 | 25 |
| 40.76 | 38 |
| 44.74 | 6 |
| 47.68 | 19 |
| 56.20 | 12 |
| 63.49 | 5 |

Structural model:
```
data_Ir4Cl3
_space_group_name_H-M_alt 'P 6/m m m'
_space_group_IT_number 191
_space_group_name_Hall '-P 6 2'
_cell_length_a 4.5780
_cell_length_b 4.5780
_cell_length_c 8.7019
_cell_angle_alpha 90.00
_cell_angle_beta 90.00
_cell_angle_gamma 120.00
loop_
_atom_site_label
_atom_site_type_symbol
_atom_site_fract_x
_atom_site_fract_y
_atom_site_fract_z
Ir1 Ir 0.0000 0.0000 0.1354
Ir2 Ir 0.3333 0.6667 0.0000
Cl1 Cl 0.0000 0.5000 0.5000
```

=====

No. 7
For Cs3LaAs2O8, a DFT-relaxed cell (GGA-PBE, Alexandria) gives the computed powder diffractogram in this record (Cu Kα).
Lines closer than 0.1° are merged.

Largest 10 diffraction maxima, by angle, 2θ from 5° to 70°:
| two_theta | I_rel |
| --- | --- |
| 26.23 | 100 |
| 28.69 | 88 |
| 39.26 | 38 |
| 41.25 | 8 |
| 49.35 | 33 |
| 50.83 | 17 |
| 51.02 | 33 |
| 59.41 | 14 |
| 66.05 | 15 |
| 67.45 | 14 |

Structural model:
```
data_Cs3LaAs2O8
_space_group_name_H-M_alt 'P -3 m 1'
_space_group_IT_number 164
_space_group_name_Hall '-P 3 2"'
_cell_length_a 6.2231
_cell_length_b 6.2231
_cell_length_c 8.7544
_cell_angle_alpha 90.00
_cell_angle_beta 90.00
_cell_angle_gamma 120.00
loop_
_atom_site_label
_atom_site_type_symbol
_atom_site_fract_x
_atom_site_fract_y
_atom_site_fract_z
Cs1 Cs 0.0000 0.0000 0.0000
Cs2 Cs 0.3333 0.6667 0.7490
La1 La 0.0000 0.0000 0.5000
As1 As 0.3333 0.6667 0.2725
O1 O 0.1819 0.3638 0.3411
O2 O 0.3333 0.6667 0.0789
```

=====

No. 8
For Tm2FeGe4, a DFT-relaxed cell (GGA-PBE, Alexandria) gives the computed powder diffractogram in this record (Cu Kα).
Lines closer than 0.1° are merged.

Largest 10 diffraction maxima, by angle, 2θ from 5° to 70°:
| two_theta | I_rel |
| --- | --- |
| 24.52 | 14 |
| 31.12 | 12 |
| 34.96 | 15 |
| 35.31 | 100 |
| 36.29 | 20 |
| 41.46 | 16 |
| 43.51 | 21 |
| 44.00 | 20 |
| 58.31 | 16 |
| 63.60 | 13 |

Structural model:
```
data_Tm2FeGe4
_space_group_name_H-M_alt 'A m m 2'
_space_group_IT_number 38
_cell_length_a 4.1158
_cell_length_b 4.1599
_cell_length_c 15.4006
_cell_angle_alpha 90.00
_cell_angle_beta 90.00
_cell_angle_gamma 90.00
loop_
_space_group_symop_operation_xyz
'x,y,z'
'-x,-y,z'
'-x,y,z'
'x,-y,z'
'x,y+1/2,z+1/2'
'-x,-y+1/2,z+1/2'
'-x,y+1/2,z+1/2'
'x,-y+1/2,z+1/2'
loop_
_atom_site_label
_atom_site_type_symbol
_atom_site_fract_x
_atom_site_fract_y
_atom_site_fract_z
Tm1 Tm 0.0000 0.0000 0.0000
Tm2 Tm 0.5000 0.0000 0.2051
Fe1 Fe 0.0000 0.0000 0.7959
Ge1 Ge 0.0000 0.0000 0.3631
Ge2 Ge 0.0000 0.0000 0.6474
Ge3 Ge 0.5000 0.0000 0.5349
Ge4 Ge 0.5000 0.0000 0.8618
```

=====

No. 9
For AsSeS4, a DFT-relaxed cell (GGA-PBE, Alexandria) gives the computed powder diffractogram in this record (Cu Kα).
Lines closer than 0.1° are merged.

Largest 10 diffraction maxima, by angle, 2θ from 5° to 70°:
| two_theta | I_rel |
| --- | --- |
| 18.95 | 100 |
| 19.45 | 40 |
| 20.20 | 15 |
| 24.88 | 14 |
| 28.08 | 52 |
| 28.28 | 15 |
| 29.70 | 28 |
| 31.02 | 20 |
| 44.55 | 15 |
| 47.16 | 15 |

Structural model:
```
data_AsSeS4
_space_group_name_H-M_alt 'P 1'
_space_group_IT_number 1
_cell_length_a 4.5770
_cell_length_b 4.6206
_cell_length_c 9.5165
_cell_angle_alpha 99.61
_cell_angle_beta 93.31
_cell_angle_gamma 90.66
loop_
_space_group_symop_operation_xyz
'x,y,z'
loop_
_atom_site_label
_atom_site_type_symbol
_atom_site_fract_x
_atom_site_fract_y
_atom_site_fract_z
As1 As 0.0000 0.0000 0.0000
Se1 Se 0.9878 0.6289 0.4874
S1 S 0.2799 0.2590 0.4067
S2 S 0.3042 0.0037 0.5649
S3 S 0.3180 0.6577 0.9012
S4 S 0.6434 0.7069 0.0660
```

=====

No. 10
For Sm6BiTe5, a DFT-relaxed cell (GGA-PBE, Alexandria) gives the computed powder diffractogram in this record (Cu Kα).
Lines closer than 0.1° are merged.

Largest 10 diffraction maxima, by angle, 2θ from 5° to 70°:
| two_theta | I_rel |
| --- | --- |
| 13.85 | 1 |
| 15.53 | 1 |
| 28.28 | 100 |
| 40.32 | 39 |
| 40.51 | 38 |
| 49.82 | 7 |
| 50.14 | 21 |
| 58.49 | 13 |
| 66.08 | 18 |
| 66.35 | 18 |

Structural model:
```
data_Sm6BiTe5
_space_group_name_H-M_alt 'C 1 2/m 1'
_space_group_IT_number 12
_cell_length_a 7.7160
_cell_length_b 13.3562
_cell_length_c 7.7597
_cell_angle_alpha 90.00
_cell_angle_beta 109.34
_cell_angle_gamma 90.00
loop_
_space_group_symop_operation_xyz
'x,y,z'
'-x,-y,-z'
'-x,y,-z'
'x,-y,z'
'x+1/2,y+1/2,z'
'-x+1/2,-y+1/2,-z'
'-x+1/2,y+1/2,-z'
'x+1/2,-y+1/2,z'
loop_
_atom_site_label
_atom_site_type_symbol
_atom_site_fract_x
_atom_site_fract_y
_atom_site_fract_z
Sm1 Sm 0.2482 0.0000 0.2507
Sm2 Sm 0.2487 0.1668 0.7485
Bi1 Bi 0.0000 0.5000 0.0000
Te1 Te 0.0000 0.0000 0.5000
Te2 Te 0.0000 0.1672 0.0000
Te3 Te 0.0000 0.3343 0.5000
```

=====

No. 11
For Tb6Tm8Zr, a DFT-relaxed cell (GGA-PBE, Alexandria) gives the computed powder diffractogram in this record (Cu Kα).
Lines closer than 0.1° are merged.

Largest 10 diffraction maxima, by angle, 2θ from 5° to 70°:
| two_theta | I_rel |
| --- | --- |
| 30.93 | 31 |
| 31.90 | 100 |
| 32.07 | 70 |
| 33.16 | 50 |
| 33.36 | 14 |
| 35.51 | 19 |
| 37.38 | 28 |
| 54.23 | 22 |
| 56.25 | 18 |
| 61.39 | 23 |

Structural model:
```
data_Tb6Tm8Zr
_space_group_name_H-M_alt 'R -3'
_space_group_IT_number 148
_space_group_name_Hall '-R 3'
_cell_length_a 8.9236
_cell_length_b 8.9236
_cell_length_c 20.1824
_cell_angle_alpha 90.00
_cell_angle_beta 90.00
_cell_angle_gamma 120.00
loop_
_atom_site_label
_atom_site_type_symbol
_atom_site_fract_x
_atom_site_fract_y
_atom_site_fract_z
Tb1 Tb 0.0759 0.2531 0.2082
Tm1 Tm 0.0000 0.0000 0.0762
Tm2 Tm 0.0842 0.5551 0.3061
Zr1 Zr 0.0000 0.0000 0.5000
```

=====

No. 12
For CsCa2TbCl8, a DFT-relaxed cell (GGA-PBE, Alexandria) gives the computed powder diffractogram in this record (Cu Kα).
Lines closer than 0.1° are merged.

Largest 10 diffraction maxima, by angle, 2θ from 5° to 70°:
| two_theta | I_rel |
| --- | --- |
| 13.22 | 38 |
| 13.62 | 41 |
| 18.83 | 100 |
| 19.22 | 76 |
| 24.12 | 78 |
| 27.74 | 84 |
| 36.01 | 37 |
| 36.47 | 86 |
| 36.91 | 51 |
| 45.40 | 38 |

Structural model:
```
data_CsCa2TbCl8
_space_group_name_H-M_alt 'P -1'
_space_group_IT_number 2
_cell_length_a 6.5048
_cell_length_b 6.6979
_cell_length_c 8.9598
_cell_angle_alpha 89.93
_cell_angle_beta 89.89
_cell_angle_gamma 88.83
loop_
_space_group_symop_operation_xyz
'x,y,z'
'-x,-y,-z'
loop_
_atom_site_label
_atom_site_type_symbol
_atom_site_fract_x
_atom_site_fract_y
_atom_site_fract_z
Cs1 Cs 0.0000 0.0000 0.0000
Ca1 Ca 0.4999 0.5000 0.2473
Tb1 Tb 0.0000 0.0000 0.5000
Cl1 Cl 0.2413 0.8242 0.7012
Cl2 Cl 0.2423 0.8252 0.2984
Cl3 Cl 0.2639 0.3175 0.5001
Cl4 Cl 0.2761 0.3988 0.0004
```